The following is a computed powder X-ray diffraction pattern of Ba4SiI2. It was derived from a GGA-PBE-relaxed structure, using λ = 1.5418 Å (Cu Kα).
Intensities are scaled so that the largest is 100.

Cell and atoms:
a b c (Å): 11.088 11.088 11.629
angles (deg): 90.00 90.00 90.00
Fractional positions:
Ba: 0.053 0.310 0.210
Ba: 0.053 0.690 0.290
Ba: 0.260 0.444 0.523
Ba: 0.260 0.556 0.977
Ba: 0.310 0.053 0.540
Ba: 0.310 0.947 0.960
Ba: 0.444 0.260 0.227
Ba: 0.444 0.740 0.273
Ba: 0.556 0.260 0.773
Ba: 0.556 0.740 0.727
Ba: 0.690 0.053 0.460
Ba: 0.690 0.947 0.040
Ba: 0.740 0.444 0.477
Ba: 0.740 0.556 0.023
Ba: 0.947 0.310 0.790
Ba: 0.947 0.690 0.710
Si: 0.263 0.500 0.250
Si: 0.500 0.263 0.500
Si: 0.500 0.737 0.000
Si: 0.737 0.500 0.750
I: 0.000 0.208 0.500
I: 0.000 0.792 0.000
I: 0.208 0.000 0.250
I: 0.251 0.251 0.875
I: 0.251 0.749 0.625
I: 0.749 0.251 0.125
I: 0.749 0.749 0.375
I: 0.792 0.000 0.750

Most intense lines, 2θ = 10–90°, by angle:
d = 4.012 Å, intensity 55; d = 3.920 Å, intensity 55; d = 3.773 Å, intensity 27; d = 3.659 Å, intensity 100; d = 3.522 Å, intensity 52; d = 3.119 Å, intensity 22; d = 3.003 Å, intensity 51; d = 2.973 Å, intensity 89; d = 2.772 Å, intensity 33; d = 2.335 Å, intensity 55

---

The following is a computed powder X-ray diffraction pattern of BaSnI6. It was derived from a GGA-PBE-relaxed structure, using λ = 1.5418 Å (Cu Kα).
Intensities are scaled so that the largest is 100.

Cell and atoms:
a b c (Å): 8.041 8.041 8.505
angles (deg): 109.16 109.16 106.47
Fractional positions:
Ba: 0.000 0.000 0.000
Sn: 0.000 0.000 0.500
I: 0.013 0.691 0.209
I: 0.297 0.297 0.486
I: 0.309 0.987 0.791
I: 0.691 0.013 0.209
I: 0.703 0.703 0.514
I: 0.987 0.309 0.791

Most intense lines, 2θ = 10–90°, by angle:
d = 6.826 Å, intensity 100; d = 6.442 Å, intensity 31; d = 4.774 Å, intensity 34; d = 3.855 Å, intensity 43; d = 3.772 Å, intensity 38; d = 3.113 Å, intensity 65; d = 3.030 Å, intensity 72; d = 3.009 Å, intensity 44; d = 2.387 Å, intensity 38; d = 2.275 Å, intensity 47

---

The following is a computed powder X-ray diffraction pattern of Ba4SnI4. It was derived from a GGA-PBE-relaxed structure, using λ = 1.5418 Å (Cu Kα).
Intensities are scaled so that the largest is 100.

Cell and atoms:
a b c (Å): 8.985 8.985 12.398
angles (deg): 118.44 118.44 33.10
Fractional positions:
Ba: 0.082 0.082 0.397
Ba: 0.310 0.310 0.222
Ba: 0.690 0.690 0.778
Ba: 0.918 0.918 0.603
Sn: 0.500 0.500 0.500
I: 0.119 0.119 0.906
I: 0.297 0.297 0.690
I: 0.703 0.703 0.310
I: 0.881 0.881 0.094

Most intense lines, 2θ = 10–90°, by angle:
d = 8.397 Å, intensity 13; d = 3.629 Å, intensity 100; d = 3.600 Å, intensity 47; d = 2.582 Å, intensity 35; d = 2.573 Å, intensity 18; d = 2.559 Å, intensity 21; d = 2.531 Å, intensity 37; d = 2.121 Å, intensity 13; d = 2.086 Å, intensity 21; d = 1.626 Å, intensity 14

---

The following is a computed powder X-ray diffraction pattern of Ba2SnI. It was derived from a GGA-PBE-relaxed structure, using λ = 1.5418 Å (Cu Kα).
Intensities are scaled so that the largest is 100.

Cell and atoms:
a b c (Å): 7.194 7.124 14.449
angles (deg): 90.00 107.92 90.00
Fractional positions:
Ba: 0.062 0.249 0.126
Ba: 0.062 0.751 0.626
Ba: 0.421 0.251 0.893
Ba: 0.421 0.749 0.393
Ba: 0.579 0.251 0.607
Ba: 0.579 0.749 0.107
Ba: 0.938 0.249 0.374
Ba: 0.938 0.751 0.874
Sn: 0.439 0.249 0.345
Sn: 0.439 0.751 0.845
Sn: 0.561 0.249 0.155
Sn: 0.561 0.751 0.655
I: 0.093 0.251 0.630
I: 0.093 0.749 0.130
I: 0.907 0.251 0.870
I: 0.907 0.749 0.370

Most intense lines, 2θ = 10–90°, by angle:
d = 3.562 Å, intensity 100; d = 3.527 Å, intensity 54; d = 3.437 Å, intensity 75; d = 3.422 Å, intensity 31; d = 2.745 Å, intensity 33; d = 2.506 Å, intensity 43; d = 2.472 Å, intensity 88; d = 2.254 Å, intensity 28; d = 2.174 Å, intensity 34; d = 1.581 Å, intensity 23

---

The following is a computed powder X-ray diffraction pattern of Ba6SrI14. It was derived from a GGA-PBE-relaxed structure, using λ = 1.5418 Å (Cu Kα).
Intensities are scaled so that the largest is 100.

Cell and atoms:
a b c (Å): 16.179 16.179 8.625
angles (deg): 90.00 90.00 86.61
Fractional positions:
Ba: 0.052 0.242 0.642
Ba: 0.191 0.809 0.798
Ba: 0.242 0.052 0.358
Ba: 0.258 0.448 0.858
Ba: 0.309 0.691 0.298
Ba: 0.448 0.258 0.142
Ba: 0.552 0.742 0.858
Ba: 0.691 0.309 0.702
Ba: 0.742 0.552 0.142
Ba: 0.758 0.948 0.642
Ba: 0.809 0.191 0.202
Ba: 0.948 0.758 0.358
Sr: 0.000 0.000 0.000
Sr: 0.500 0.500 0.500
I: 0.038 0.148 0.250
I: 0.064 0.436 0.750
I: 0.124 0.876 0.192
I: 0.132 0.673 0.519
I: 0.148 0.038 0.750
I: 0.173 0.632 0.019
I: 0.249 0.249 0.500
I: 0.251 0.251 0.000
I: 0.327 0.868 0.519
I: 0.352 0.462 0.250
I: 0.368 0.827 0.019
I: 0.376 0.624 0.692
I: 0.436 0.064 0.250
I: 0.462 0.352 0.750
I: 0.538 0.648 0.250
I: 0.564 0.936 0.750
I: 0.624 0.376 0.308
I: 0.632 0.173 0.981
I: 0.648 0.538 0.750
I: 0.673 0.132 0.481
I: 0.749 0.749 0.000
I: 0.751 0.751 0.500
I: 0.827 0.368 0.981
I: 0.852 0.962 0.250
I: 0.868 0.327 0.481
I: 0.876 0.124 0.808
I: 0.936 0.564 0.250
I: 0.962 0.852 0.750

Most intense lines, 2θ = 10–90°, by angle:
d = 5.895 Å, intensity 27; d = 5.616 Å, intensity 41; d = 3.402 Å, intensity 65; d = 3.320 Å, intensity 100; d = 3.266 Å, intensity 30; d = 3.204 Å, intensity 32; d = 3.132 Å, intensity 56; d = 3.004 Å, intensity 57; d = 2.947 Å, intensity 35; d = 2.227 Å, intensity 28

---

The following is a computed powder X-ray diffraction pattern of BaSr2I6. It was derived from a GGA-PBE-relaxed structure, using λ = 1.5418 Å (Cu Kα).
Intensities are scaled so that the largest is 100.

Cell and atoms:
a b c (Å): 7.664 28.268 8.481
angles (deg): 90.00 90.00 90.00
Fractional positions:
Ba: 0.000 0.116 0.250
Ba: 0.000 0.884 0.750
Ba: 0.500 0.384 0.750
Ba: 0.500 0.616 0.250
Sr: 0.000 0.217 0.750
Sr: 0.000 0.450 0.250
Sr: 0.000 0.550 0.750
Sr: 0.000 0.783 0.250
Sr: 0.500 0.050 0.750
Sr: 0.500 0.283 0.250
Sr: 0.500 0.717 0.750
Sr: 0.500 0.950 0.250
I: 0.237 0.468 0.569
I: 0.237 0.532 0.069
I: 0.245 0.205 0.071
I: 0.245 0.795 0.571
I: 0.246 0.132 0.590
I: 0.246 0.868 0.090
I: 0.254 0.368 0.090
I: 0.254 0.632 0.590
I: 0.255 0.295 0.571
I: 0.255 0.705 0.071
I: 0.263 0.032 0.069
I: 0.263 0.968 0.569
I: 0.737 0.032 0.431
I: 0.737 0.968 0.931
I: 0.745 0.295 0.929
I: 0.745 0.705 0.429
I: 0.746 0.368 0.410
I: 0.746 0.632 0.910
I: 0.754 0.132 0.910
I: 0.754 0.868 0.410
I: 0.755 0.205 0.429
I: 0.755 0.795 0.929
I: 0.763 0.468 0.931
I: 0.763 0.532 0.431

Most intense lines, 2θ = 10–90°, by angle:
d = 5.946 Å, intensity 17; d = 4.868 Å, intensity 28; d = 3.710 Å, intensity 48; d = 3.628 Å, intensity 100; d = 2.843 Å, intensity 34; d = 2.805 Å, intensity 47; d = 2.424 Å, intensity 40; d = 2.356 Å, intensity 15; d = 2.171 Å, intensity 23; d = 1.503 Å, intensity 17